Entry 1:
Diffraction record for TiRhS3. The powder XRD pattern is theoretical, not measured: it uses DFT lattice parameters and positions (PBE) and Cu Kα (weighted mean of Kα1 and Kα2).
Neutral-atom scattering factors, no anomalous dispersion.

Crystal structure
a = 9.2951 Å, b = 9.2951 Å, c = 5.8840 Å
α = 90.00°, β = 90.00°, γ = 158.83°
Positions (direct):
Ti: 0.1637 0.8363 0.5000
Ti: 0.8363 0.1637 0.0000
Rh: 0.3385 0.6615 0.5788
Rh: 0.6615 0.3385 0.0788
S: 0.0827 0.9173 0.1984
S: 0.2446 0.7554 0.8794
S: 0.4009 0.5991 0.2067
S: 0.5991 0.4009 0.7067
S: 0.7554 0.2446 0.3794
S: 0.9173 0.0827 0.6984

Largest 10 diffraction maxima, by angle, 2θ from 10° to 90°:
| 2theta | I/Imax |
| --- | --- |
| 17.9 | 47.5 |
| 19.4 | 60.6 |
| 30.7 | 60.0 |
| 33.7 | 37.6 |
| 36.3 | 29.1 |
| 39.2 | 100.0 |
| 42.7 | 42.9 |
| 43.2 | 26.1 |
| 46.4 | 52.0 |
| 54.2 | 43.7 |

=====

Entry 2:
Diffraction record for Ca5TlAg4. The powder XRD pattern is theoretical, not measured: it uses DFT lattice parameters and positions (PBE) and Cu Kα (weighted mean of Kα1 and Kα2).
Neutral-atom scattering factors, no anomalous dispersion.

Crystal structure
a = 3.7473 Å, b = 3.7473 Å, c = 18.7698 Å
α = 90.00°, β = 90.00°, γ = 90.00°
Positions (direct):
Ca: 0.0000 0.0000 0.0000
Ca: 0.0000 0.0000 0.1945
Ca: 0.0000 0.0000 0.3908
Ca: 0.0000 0.0000 0.6092
Ca: 0.0000 0.0000 0.8055
Tl: 0.5000 0.5000 0.5000
Ag: 0.5000 0.5000 0.0976
Ag: 0.5000 0.5000 0.2922
Ag: 0.5000 0.5000 0.7078
Ag: 0.5000 0.5000 0.9024

Largest 10 diffraction maxima, by angle, 2θ from 10° to 90°:
| 2theta | I/Imax |
| --- | --- |
| 23.7 | 31.6 |
| 33.8 | 100.0 |
| 41.7 | 9.8 |
| 48.6 | 17.0 |
| 54.7 | 13.2 |
| 60.5 | 33.5 |
| 71.1 | 10.0 |
| 76.1 | 3.7 |
| 81.0 | 4.0 |
| 81.2 | 9.8 |